# 1
Structure and simulated powder diffractogram of Ti3Fe2SnP6O24 (the GGA+U geometry in the Materials Project; Cu Kα).
Peak positions follow from Bragg's law for the DFT cell and can differ from measured ones.

Peak list (10 most intense, 10° ≤ 2θ ≤ 80°, sorted by position)
- hkl 1 1 0, 20.35°, intensity 95
- hkl 1 0 4, 20.58°, intensity 17
- hkl 2 -1 3, 24.02°, intensity 100
- hkl 3 -1 1, 31.60°, intensity 18
- hkl 1 1 6, 32.78°, intensity 76
- hkl 3 0 0, 35.63°, intensity 42
- hkl 1 2 8, 46.98°, intensity 33
- hkl 2 2 6, 49.19°, intensity 30
- hkl 1 4 0, 55.74°, intensity 31
- hkl 4 1 6, 62.20°, intensity 22

```
data_Ti3Fe2SnP6O24
_cell_length_a 8.7286
_cell_length_b 8.7286
_cell_length_c 21.0232
_cell_angle_alpha 90.00
_cell_angle_beta 90.00
_cell_angle_gamma 120.00
_space_group_name_H-M_alt 'R 3'
_space_group_IT_number 146
_space_group_name_Hall 'R 3'
loop_
_atom_site_label
_atom_site_fract_x
_atom_site_fract_y
_atom_site_fract_z
_atom_site_occupancy
Ti1 0.0000 0.0000 0.0000 1
Ti2 0.0000 0.0000 0.2115 1
Ti3 0.0000 0.0000 0.7125 1
Fe1 0.0000 0.0000 0.3518 1
Fe2 0.0000 0.0000 0.8564 1
Sn1 0.0000 0.0000 0.4992 1
P1 0.0012 0.2968 0.6066 1
P2 0.0414 0.6687 0.7725 1
O1 0.9998 0.2026 0.5444 1
O2 0.0039 0.1956 0.6656 1
O3 0.0056 0.8081 0.1662 1
O4 0.0172 0.1841 0.2787 1
O5 0.0178 0.8330 0.7792 1
O6 0.1412 0.6711 0.7121 1
O7 0.1667 0.4846 0.6003 1
O8 0.1670 0.6856 0.0978 1
```



# 2
Structure and simulated powder diffractogram of Ti3FeSn2P6O24 (the GGA+U geometry in the Materials Project; Cu Kα).
Peak positions follow from Bragg's law for the DFT cell and can differ from measured ones.

Peak list (10 most intense, 10° ≤ 2θ ≤ 80°, sorted by position)
- hkl 1 1 0, 20.52°, intensity 100
- hkl 2 -1 3, 23.60°, intensity 77
- hkl 2 0 2, 24.98°, intensity 27
- hkl 1 1 6, 31.15°, intensity 97
- hkl 3 -2 2, 32.54°, intensity 24
- hkl 3 0 0, 35.94°, intensity 37
- hkl 3 -2 8, 44.90°, intensity 18
- hkl 2 2 6, 48.28°, intensity 34
- hkl 1 4 0, 56.23°, intensity 25
- hkl 4 1 6, 61.63°, intensity 23

```
data_Ti3FeSn2P6O24
_cell_length_a 8.6562
_cell_length_b 8.6562
_cell_length_c 23.0227
_cell_angle_alpha 90.00
_cell_angle_beta 90.00
_cell_angle_gamma 120.00
_space_group_name_H-M_alt 'R 3'
_space_group_IT_number 146
_space_group_name_Hall 'R 3'
loop_
_atom_site_label
_atom_site_fract_x
_atom_site_fract_y
_atom_site_fract_z
_atom_site_occupancy
Ti1 0.0000 0.0000 0.0000 1
Ti2 0.0000 0.0000 0.2082 1
Ti3 0.0000 0.0000 0.6960 1
Fe1 0.0000 0.0000 0.5059 1
Sn1 0.0000 0.0000 0.3702 1
Sn2 0.0000 0.0000 0.8382 1
P1 0.0024 0.2945 0.6008 1
P2 0.0546 0.6746 0.7696 1
O1 0.0000 0.8164 0.0480 1
O2 0.0332 0.1935 0.2605 1
O3 0.0336 0.8447 0.7640 1
O4 0.0543 0.2334 0.5464 1
O5 0.1512 0.4834 0.6175 1
O6 0.1606 0.6943 0.8256 1
O7 0.1613 0.6953 0.1053 1
O8 0.1639 0.4683 0.3217 1
```



# 3
Structure and simulated powder diffractogram of SrFeP2O7 (the GGA+U geometry in the Materials Project; Cu Kα).
Peak positions follow from Bragg's law for the DFT cell and can differ from measured ones.

Peak list (10 most intense, 10° ≤ 2θ ≤ 80°, sorted by position)
- hkl 1 0 -4, 26.46°, intensity 100
- hkl 1 2 -1, 26.86°, intensity 55
- hkl 1 2 0, 27.75°, intensity 28
- hkl 1 1 2, 28.49°, intensity 55
- hkl 0 2 3, 29.71°, intensity 33
- hkl 1 2 1, 30.26°, intensity 36
- hkl 0 3 1, 32.76°, intensity 33
- hkl 2 0 -2, 33.02°, intensity 41
- hkl 0 1 6, 43.40°, intensity 32
- hkl 2 2 -5, 45.08°, intensity 27

```
data_SrFeP2O7
_cell_length_a 5.4251
_cell_length_b 8.3913
_cell_length_c 13.9911
_cell_angle_alpha 90.00
_cell_angle_beta 112.60
_cell_angle_gamma 90.00
_space_group_name_H-M_alt 'P 1 21/c 1'
_space_group_IT_number 14
_space_group_name_Hall '-P 2ybc'
loop_
_atom_site_label
_atom_site_fract_x
_atom_site_fract_y
_atom_site_fract_z
_atom_site_occupancy
Sr1 0.0644 0.1632 0.2778 1
Fe1 0.4239 0.1508 0.6052 1
P1 0.2086 0.7001 0.0197 1
P2 0.4154 0.5372 0.6660 1
O1 0.0602 0.1702 0.4706 1
O2 0.2028 0.6878 0.9095 1
O3 0.2826 0.0596 0.7923 1
O4 0.2850 0.6197 0.7334 1
O5 0.2917 0.6157 0.5515 1
O6 0.3274 0.1374 0.1516 1
O7 0.4330 0.5966 0.0972 1
```



# 4
Structure and simulated powder diffractogram of SrFe3P3O12 (the GGA+U geometry in the Materials Project; Cu Kα).
Peak positions follow from Bragg's law for the DFT cell and can differ from measured ones.

Peak list (10 most intense, 10° ≤ 2θ ≤ 80°, sorted by position)
- hkl 1 2 1, 20.51°, intensity 54
- hkl 2 2 0, 21.26°, intensity 28
- hkl 2 1 1, 22.48°, intensity 24
- hkl 1 1 2, 29.02°, intensity 27
- hkl 2 4 0, 31.24°, intensity 100
- hkl 2 0 2, 31.89°, intensity 62
- hkl 4 0 0, 33.87°, intensity 38
- hkl 1 3 2, 34.59°, intensity 20
- hkl 0 1 3, 41.46°, intensity 18
- hkl 4 4 2, 51.73°, intensity 35

```
data_SrFe3P3O12
_cell_length_a 10.5875
_cell_length_b 13.6154
_cell_length_c 6.6189
_cell_angle_alpha 90.00
_cell_angle_beta 90.00
_cell_angle_gamma 90.00
_space_group_name_H-M_alt 'I m m a'
_space_group_IT_number 74
_space_group_name_Hall '-I 2b 2'
loop_
_atom_site_label
_atom_site_fract_x
_atom_site_fract_y
_atom_site_fract_z
_atom_site_occupancy
Sr1 0.0000 0.2500 0.1002 1
Fe1 0.0000 0.0000 0.5000 1
Fe2 0.2500 0.1324 0.7500 1
P1 0.0000 0.2500 0.5944 1
P2 0.2500 0.0735 0.2500 1
O1 0.0000 0.1575 0.4586 1
O2 0.1162 0.2500 0.7396 1
O3 0.1387 0.0008 0.7035 1
O4 0.2097 0.1362 0.0679 1
```



# 5
Structure and simulated powder diffractogram of SrTiFeP3O12 (the GGA+U geometry in the Materials Project; Cu Kα).
Peak positions follow from Bragg's law for the DFT cell and can differ from measured ones.

Peak list (10 most intense, 10° ≤ 2θ ≤ 80°, sorted by position)
- hkl 1 1 0, 20.66°, intensity 85
- hkl 1 1 3, 23.78°, intensity 80
- hkl 2 0 2, 25.16°, intensity 17
- hkl 1 1 6, 31.40°, intensity 100
- hkl 1 2 2, 32.78°, intensity 15
- hkl 3 0 0, 36.20°, intensity 31
- hkl 1 2 8, 45.26°, intensity 20
- hkl 2 2 6, 48.66°, intensity 34
- hkl 4 1 0, 56.65°, intensity 22
- hkl 2 0 14, 62.14°, intensity 28

```
data_SrTiFeP3O12
_cell_length_a 8.5970
_cell_length_b 8.5970
_cell_length_c 22.8236
_cell_angle_alpha 90.00
_cell_angle_beta 90.00
_cell_angle_gamma 120.00
_space_group_name_H-M_alt 'R 3 c'
_space_group_IT_number 161
_space_group_name_Hall 'R 3 -2"c'
loop_
_atom_site_label
_atom_site_fract_x
_atom_site_fract_y
_atom_site_fract_z
_atom_site_occupancy
Sr1 0.0000 0.0000 0.0000 1
Ti1 0.0000 0.0000 0.1510 1
Fe1 0.0000 0.0000 0.3520 1
P1 0.0477 0.3794 0.4189 1
O1 0.0252 0.1918 0.4106 1
O2 0.0341 0.2023 0.6965 1
O3 0.1615 0.4574 0.4737 1
O4 0.1705 0.4742 0.7592 1
```



# 6
Structure and simulated powder diffractogram of SrZnFeP2O8 (the GGA+U geometry in the Materials Project; Cu Kα).
Peak positions follow from Bragg's law for the DFT cell and can differ from measured ones.

Peak list (10 most intense, 10° ≤ 2θ ≤ 80°, sorted by position)
- hkl 0 0 1, 10.32°, intensity 19
- hkl 0 2 0, 27.73°, intensity 100
- hkl 1 -1 2, 28.99°, intensity 26
- hkl 1 1 -3, 30.37°, intensity 66
- hkl 1 0 2, 31.18°, intensity 47
- hkl 2 0 -1, 32.73°, intensity 41
- hkl 1 -2 2, 33.24°, intensity 39
- hkl -2 1 1, 33.74°, intensity 23
- hkl 1 3 -3, 46.32°, intensity 26
- hkl 1 2 2, 49.84°, intensity 20

```
data_SrZnFeP2O8
_cell_length_a 5.5289
_cell_length_b 6.9525
_cell_length_c 9.5171
_cell_angle_alpha 107.53
_cell_angle_beta 105.54
_cell_angle_gamma 98.08
_space_group_name_H-M_alt 'P -1'
_space_group_IT_number 2
_space_group_name_Hall '-P 1'
loop_
_atom_site_label
_atom_site_fract_x
_atom_site_fract_y
_atom_site_fract_z
_atom_site_occupancy
Sr1 0.2006 0.2475 0.4499 1
Zn1 0.3550 0.2387 0.8585 1
Fe1 0.0709 0.7878 0.9449 1
P1 0.1611 0.6902 0.2704 1
P2 0.4560 0.7775 0.8001 1
O1 0.0237 0.3017 0.8866 1
O2 0.0955 0.8408 0.4024 1
O3 0.1035 0.4643 0.2657 1
O4 0.2579 0.9214 0.8070 1
O5 0.2603 0.0868 0.1389 1
O6 0.3889 0.6293 0.6330 1
O7 0.4219 0.6655 0.9176 1
O8 0.4508 0.7608 0.2861 1
```